1.
For Li5In4, the GGA-PBE geometry in the Materials Project gives the theoretical powder diffraction line list in this record (Cu Kα).

Structure:
a b c (Å): 4.775 4.775 8.975
angles (deg): 90.00 90.00 120.00
Element x y z (fractional)
Li  0.000  0.000  0.000
Li  0.333  0.667  0.117
Li  0.333  0.667  0.452
Li  0.667  0.333  0.548
Li  0.667  0.333  0.883
In  0.000  0.000  0.335
In  0.000  0.000  0.665
In  0.333  0.667  0.797
In  0.667  0.333  0.203

Principal peaks in the range 2θ = 10–80°, low angle first:
2θ (°)	I (rel.)
19.78	39
23.69	100
37.09	74
37.68	65
42.91	31
44.99	18
46.02	17
53.90	24
60.09	15
67.63	24

2.
For LiIn2, the GGA-PBE geometry in the Materials Project gives the theoretical powder diffraction line list in this record (Cu Kα).

Structure:
a b c (Å): 7.498 7.498 7.498
angles (deg): 60.00 60.00 60.00
Element x y z (fractional)
Li  0.000  0.000  0.000
Li  0.000  0.000  0.500
Li  0.000  0.500  0.000
Li  0.500  0.000  0.000
In  0.270  0.270  0.270
In  0.270  0.270  0.691
In  0.270  0.691  0.270
In  0.309  0.730  0.730
In  0.691  0.270  0.270
In  0.730  0.309  0.730
In  0.730  0.730  0.309
In  0.730  0.730  0.730

Principal peaks in the range 2θ = 10–80°, low angle first:
2θ (°)	I (rel.)
14.47	19
29.18	100
33.81	52
36.95	16
44.39	27
48.57	29
57.67	24
62.56	15
67.90	14
73.04	10

3.
For Li13In3, the GGA-PBE geometry in the Materials Project gives the theoretical powder diffraction line list in this record (Cu Kα).

Structure:
a b c (Å): 9.383 9.383 9.383
angles (deg): 60.00 60.00 60.00
Element x y z (fractional)
Li  0.000  0.000  0.000
Li  0.000  0.000  0.500
Li  0.000  0.500  0.000
Li  0.122  0.122  0.628
Li  0.122  0.628  0.122
Li  0.122  0.628  0.628
Li  0.256  0.256  0.256
Li  0.256  0.256  0.732
Li  0.256  0.732  0.256
Li  0.268  0.744  0.744
Li  0.372  0.372  0.878
Li  0.372  0.878  0.372
Li  0.372  0.878  0.878
Li  0.375  0.375  0.375
Li  0.500  0.000  0.000
Li  0.625  0.625  0.625
Li  0.628  0.122  0.122
Li  0.628  0.122  0.628
Li  0.628  0.628  0.122
Li  0.732  0.256  0.256
Li  0.744  0.268  0.744
Li  0.744  0.744  0.268
Li  0.744  0.744  0.744
Li  0.878  0.372  0.372
Li  0.878  0.372  0.878
Li  0.878  0.878  0.372
In  0.000  0.500  0.500
In  0.125  0.125  0.125
In  0.500  0.000  0.500
In  0.500  0.500  0.000
In  0.500  0.500  0.500
In  0.875  0.875  0.875

Principal peaks in the range 2θ = 10–80°, low angle first:
2θ (°)	I (rel.)
18.91	25
22.22	100
23.22	41
35.14	42
38.37	58
44.79	15
45.33	21
53.00	27
60.41	15
69.39	19

4.
For Li3In2, the GGA-PBE geometry in the Materials Project gives the theoretical powder diffraction line list in this record (Cu Kα).

Structure:
a b c (Å): 5.626 5.626 5.626
angles (deg): 49.99 49.99 49.99
Element x y z (fractional)
Li  0.000  0.000  0.000
Li  0.404  0.404  0.404
Li  0.596  0.596  0.596
In  0.209  0.209  0.209
In  0.791  0.791  0.791

Principal peaks in the range 2θ = 10–80°, low angle first:
2θ (°)	I (rel.)
18.06	45
24.77	100
32.62	18
37.53	51
37.84	54
42.23	31
45.76	19
48.58	20
54.36	17
68.14	17